1.
Li4MnCo2O7: computed X-ray diffraction stick pattern (Cu Ka), based on a crystal structure in the Materials Project, relaxed with GGA+U.
No peak broadening, texture or thermal motion is included.

Structural model:
```
28
Lattice="6.3624 -1.4557 0.0000 6.3624 1.4557 0.0000 -5.0191 0.0000 13.4875" Properties=species:S:1:pos:R:3 pbc="T T T"
Li 0.0000 0.0000 0.0000
Li -2.4749 0.0000 6.7761
Li 0.7284 0.0000 2.7836
Li -0.9175 0.0000 12.6369
Li 2.2459 0.0000 8.7907
Li 5.4858 0.0000 4.8115
Li 8.6950 0.0000 1.0399
Li 6.9223 0.0000 10.7505
Mn 1.5231 0.0000 5.8421
Mn 2.9366 0.0000 11.6147
Co -1.7663 0.0000 9.6800
Co 4.8718 0.0000 1.8094
Co 6.1803 0.0000 7.8079
Co 9.5914 0.0000 3.7917
O -3.6207 0.0000 10.2457
O -3.0253 0.0000 12.8104
O -0.3761 0.0000 6.3683
O 0.1176 0.0000 9.1468
O 2.7662 0.0000 2.5376
O 3.3588 0.0000 5.3394
O 1.1422 0.0000 11.9968
O 6.6493 0.0000 1.5353
O 4.2670 0.0000 8.3913
O 4.8487 0.0000 10.9447
O 7.5806 0.0000 4.5912
O 8.1788 0.0000 7.1367
O 10.7144 0.0000 0.5998
O 11.4018 0.0000 3.4395
```

Peak list (10 most intense, 2θ from 10° to 80°, in order of rising 2θ)
- d = 4.862 Å, I 100
- d = 2.489 Å, I 25
- d = 2.475 Å, I 12
- d = 2.084 Å, I 55
- d = 2.054 Å, I 26
- d = 1.898 Å, I 9
- d = 1.614 Å, I 10
- d = 1.492 Å, I 8
- d = 1.470 Å, I 14
- d = 1.456 Å, I 21

---

2.
Li4Mn3CoO8: computed X-ray diffraction stick pattern (Cu Ka), based on a crystal structure in the Materials Project, relaxed with GGA+U.
No peak broadening, texture or thermal motion is included.

Structural model:
```
16
Lattice="5.0943 0.0000 0.0000 1.5984 5.5694 0.0000 1.3731 2.5930 5.2854" Properties=species:S:1:pos:R:3 pbc="T T T"
Li 0.7631 2.0274 1.3897
Li 1.4760 3.3188 3.8064
Li 6.5898 4.8437 1.4791
Li 7.3028 6.1351 3.8957
Mn 2.5471 0.0000 0.0000
Mn 3.3463 2.7847 0.0000
Mn 4.0329 4.0812 2.6427
Co 3.2337 1.2965 2.6427
O 2.4775 3.0976 2.0171
O 3.2527 5.7744 2.0412
O 3.1768 4.3145 4.7536
O 4.0559 7.0899 4.4383
O 4.0099 1.0726 0.8472
O 4.8890 3.8480 0.5318
O 4.8131 2.3881 3.2443
O 5.5883 5.0649 3.2683
```

Peak list (10 most intense, 2θ from 10° to 80°, in order of rising 2θ)
- d = 4.865 Å, I 100
- d = 2.643 Å, I 18
- d = 2.500 Å, I 13
- d = 2.483 Å, I 13
- d = 2.430 Å, I 9
- d = 2.219 Å, I 31
- d = 2.065 Å, I 25
- d = 2.045 Å, I 24
- d = 1.514 Å, I 8
- d = 1.506 Å, I 7

---

3.
Li4MnCo2O7: computed X-ray diffraction stick pattern (Cu Ka), based on a crystal structure in the Materials Project, relaxed with GGA+U.
No peak broadening, texture or thermal motion is included.

Structural model:
```
28
Lattice="14.7786 -1.4447 0.0000 14.7786 1.4447 0.0000 -0.6314 0.0000 5.8731" Properties=species:S:1:pos:R:3 pbc="T T T"
Li 0.0000 0.0000 0.0000
Li -0.2970 0.0000 2.8705
Li 3.7899 0.0000 3.3203
Li 8.4139 0.0000 0.8325
Li 12.3835 0.0000 4.1461
Li 16.5488 0.0000 1.6773
Li 20.6290 0.0000 4.9961
Li 25.1085 0.0000 2.4921
Mn 4.1382 0.0000 0.3810
Mn 12.6513 0.0000 1.2613
Co 8.0940 0.0000 3.7333
Co 16.1617 0.0000 4.4783
Co 20.9209 0.0000 2.0865
Co 24.7816 0.0000 5.4331
O 1.8064 0.0000 3.2163
O 2.2601 0.0000 0.0893
O 6.1117 0.0000 0.7246
O 6.0235 0.0000 3.4174
O 10.1324 0.0000 4.0671
O 10.6087 0.0000 0.9380
O 14.4738 0.0000 1.4149
O 14.3976 0.0000 4.4084
O 18.7900 0.0000 1.6956
O 18.5094 0.0000 4.9703
O 23.0015 0.0000 2.3305
O 22.7300 0.0000 5.1658
O 26.8212 0.0000 5.7800
O 27.1775 0.0000 2.5341
```

Peak list (10 most intense, 2θ from 10° to 80°, in order of rising 2θ)
- d = 4.847 Å, I 100
- d = 2.522 Å, I 14
- d = 2.478 Å, I 25
- d = 2.099 Å, I 27
- d = 2.065 Å, I 55
- d = 1.906 Å, I 9
- d = 1.599 Å, I 10
- d = 1.476 Å, I 22
- d = 1.469 Å, I 15
- d = 1.445 Å, I 7

---

4.
Li7Mn4CoO12: computed X-ray diffraction stick pattern (Cu Ka), based on a crystal structure in the Materials Project, relaxed with GGA+U.
No peak broadening, texture or thermal motion is included.

Structural model:
```
24
Lattice="7.6780 -1.4443 0.0000 7.6780 1.4443 0.0000 -3.1255 0.0000 10.0183" Properties=species:S:1:pos:R:3 pbc="T T T"
Li 0.0000 0.0000 0.0000
Li -1.5213 0.0000 4.9349
Li 1.2189 0.0000 4.1493
Li 2.4720 0.0000 8.1182
Li 4.0346 0.0000 3.3153
Li 8.2312 0.0000 6.4693
Li 9.7531 0.0000 1.8667
Mn -0.2962 0.0000 9.0913
Mn 5.2629 0.0000 7.4125
Mn 6.9764 0.0000 2.5972
Mn 12.5640 0.0000 0.8518
Co 10.7931 0.0000 5.5399
O -1.1564 0.0000 7.0242
O 0.4982 0.0000 2.0572
O 1.9262 0.0000 6.2031
O 3.5816 0.0000 1.1979
O 4.6115 0.0000 5.6387
O 6.2040 0.0000 0.5774
O 7.4798 0.0000 4.3426
O 6.0428 0.0000 9.3338
O 8.6602 0.0000 8.7438
O 10.4413 0.0000 3.7920
O 11.7513 0.0000 7.9403
O 13.3542 0.0000 2.8981
```

Peak list (10 most intense, 2θ from 10° to 80°, in order of rising 2θ)
- d = 4.865 Å, I 100
- d = 3.662 Å, I 8
- d = 2.610 Å, I 14
- d = 2.487 Å, I 23
- d = 2.180 Å, I 29
- d = 2.061 Å, I 56
- d = 1.933 Å, I 8
- d = 1.594 Å, I 10
- d = 1.500 Å, I 14
- d = 1.495 Å, I 15

---

5.
Li7Mn2Co3O12: computed X-ray diffraction stick pattern (Cu Ka), based on a crystal structure in the Materials Project, relaxed with GGA+U.
No peak broadening, texture or thermal motion is included.

Structural model:
```
24
Lattice="6.3825 -1.4751 0.0000 6.3825 1.4751 0.0000 -3.0029 0.0000 11.7148" Properties=species:S:1:pos:R:3 pbc="T T T"
Li 0.0000 0.0000 0.0000
Li 11.3709 0.0000 5.4325
Li 3.2445 0.0000 3.8018
Li 1.7904 0.0000 9.5327
Li 6.5740 0.0000 7.4338
Li 7.3013 0.0000 4.6487
Li 8.0197 0.0000 1.9464
Mn 5.7933 0.0000 10.5542
Mn 10.5095 0.0000 8.5607
Co -0.5565 0.0000 2.8591
Co 2.3904 0.0000 6.4717
Co 4.1027 0.0000 0.8769
O -0.3412 0.0000 9.2429
O 1.2313 0.0000 3.1704
O 2.0624 0.0000 0.0491
O 0.5999 0.0000 6.2407
O 5.9836 0.0000 1.2770
O 5.2886 0.0000 4.0558
O 4.4850 0.0000 7.3848
O 3.9090 0.0000 9.9050
O 7.6278 0.0000 11.0535
O 10.0978 0.0000 2.0351
O 9.3250 0.0000 5.3171
O 8.7088 0.0000 8.1240
```

Peak list (10 most intense, 2θ from 10° to 80°, in order of rising 2θ)
- d = 4.903 Å, I 100
- d = 2.520 Å, I 24
- d = 2.491 Å, I 12
- d = 2.112 Å, I 58
- d = 2.061 Å, I 25
- d = 1.913 Å, I 8
- d = 1.634 Å, I 12
- d = 1.481 Å, I 15
- d = 1.475 Å, I 8
- d = 1.469 Å, I 12

---

6.
Li4MnCo2O7: computed X-ray diffraction stick pattern (Cu Ka), based on a crystal structure in the Materials Project, relaxed with GGA+U.
No peak broadening, texture or thermal motion is included.

Structural model:
```
28
Lattice="6.4244 -1.4546 0.0000 6.4244 1.4546 0.0000 -5.2113 0.0000 13.5426" Properties=species:S:1:pos:R:3 pbc="T T T"
Li 0.0000 0.0000 0.0000
Li -2.6056 0.0000 6.7713
Li 0.7073 0.0000 2.8440
Li -1.1019 0.0000 12.6760
Li 2.1401 0.0000 8.7415
Li 5.4974 0.0000 4.8011
Li 8.7394 0.0000 0.8666
Li 6.9302 0.0000 10.6986
Mn -1.8923 0.0000 9.7027
Mn 9.5298 0.0000 3.8399
Co 1.4186 0.0000 5.8390
Co 4.9370 0.0000 1.8101
Co 2.7005 0.0000 11.7324
Co 6.2190 0.0000 7.7035
O -3.7297 0.0000 10.2121
O -3.1768 0.0000 12.9234
O -0.5580 0.0000 6.3304
O -0.0004 0.0000 9.1278
O 2.7849 0.0000 2.6154
O 3.4092 0.0000 5.1497
O 0.9421 0.0000 12.0203
O 6.6954 0.0000 1.5222
O 4.2283 0.0000 8.3929
O 4.8526 0.0000 10.9271
O 7.6379 0.0000 4.4148
O 8.1955 0.0000 7.2122
O 10.8143 0.0000 0.6192
O 11.3672 0.0000 3.3305
```

Peak list (10 most intense, 2θ from 10° to 80°, in order of rising 2θ)
- d = 4.873 Å, I 100
- d = 2.507 Å, I 13
- d = 2.493 Å, I 25
- d = 2.085 Å, I 57
- d = 2.079 Å, I 26
- d = 1.906 Å, I 9
- d = 1.615 Å, I 10
- d = 1.476 Å, I 14
- d = 1.468 Å, I 13
- d = 1.455 Å, I 8

---

7.
Li4Mn3CoO8: computed X-ray diffraction stick pattern (Cu Ka), based on a crystal structure in the Materials Project, relaxed with GGA+U.
No peak broadening, texture or thermal motion is included.

Structural model:
```
16
Lattice="3.0861 0.0000 0.0000 0.2348 5.1184 0.0000 0.9457 2.2170 9.7230" Properties=species:S:1:pos:R:3 pbc="T T T"
Li 0.0000 0.0000 0.0000
Li 0.5902 3.6677 4.8615
Li 2.2865 2.9304 7.2813
Li 1.9800 4.4050 2.4418
Mn 0.9347 5.5091 7.3202
Mn 2.0159 1.1085 4.8615
Mn 3.3319 1.8263 2.4028
Co 1.6605 2.5592 0.0000
O 1.0258 3.9938 8.5463
O 0.7230 1.9305 6.1044
O 1.5618 1.0059 1.1814
O 2.2107 4.6850 6.0712
O 2.0559 2.6504 3.6518
O 2.7048 6.3295 8.5417
O 3.5435 5.4049 3.6186
O 3.2408 3.3417 1.1768
```

Peak list (10 most intense, 2θ from 10° to 80°, in order of rising 2θ)
- d = 4.905 Å, I 100
- d = 2.704 Å, I 21
- d = 2.501 Å, I 13
- d = 2.477 Å, I 17
- d = 2.434 Å, I 9
- d = 2.275 Å, I 35
- d = 2.065 Å, I 25
- d = 2.043 Å, I 24
- d = 1.536 Å, I 8
- d = 1.523 Å, I 16

---

8.
Li7Mn2Co3O12: computed X-ray diffraction stick pattern (Cu Ka), based on a crystal structure in the Materials Project, relaxed with GGA+U.
No peak broadening, texture or thermal motion is included.

Structural model:
```
24
Lattice="5.0468 0.0000 0.0000 0.8238 5.0873 0.0000 0.6445 2.4137 8.3541" Properties=species:S:1:pos:R:3 pbc="T T T"
Li 0.0000 0.0000 0.0000
Li 1.6017 2.3135 0.6374
Li 2.3249 5.6712 6.3517
Li 1.5948 1.4312 3.4722
Li 4.9202 6.0698 4.8819
Li 4.1901 1.8298 2.0024
Li 4.9133 5.1875 7.7167
Mn 0.7160 3.3022 5.5962
Mn 5.7991 4.1988 2.7579
Co 3.2579 4.6200 1.3158
Co 3.2575 3.7505 4.1770
Co 3.2572 2.8811 7.0382
O 1.4828 3.9888 7.1674
O 1.5265 4.7624 4.4978
O 0.7868 0.5494 1.8606
O 2.3331 2.2811 5.2771
O 2.3995 3.1634 2.5622
O 3.2832 6.3768 8.0492
O 3.2319 1.1242 0.3048
O 4.1156 4.3377 5.7919
O 4.1819 5.2200 3.0770
O 5.7283 6.9516 6.4935
O 4.9886 2.7387 3.8563
O 5.0323 3.5123 1.1867
```

Peak list (10 most intense, 2θ from 10° to 80°, in order of rising 2θ)
- d = 8.354 Å, I 9
- d = 4.845 Å, I 100
- d = 2.519 Å, I 14
- d = 2.490 Å, I 14
- d = 2.462 Å, I 11
- d = 2.099 Å, I 30
- d = 2.082 Å, I 29
- d = 2.044 Å, I 26
- d = 1.486 Å, I 8
- d = 1.472 Å, I 15

---

9.
LiMnCo3O8: computed X-ray diffraction stick pattern (Cu Ka), based on a crystal structure in the Materials Project, relaxed with GGA+U.
No peak broadening, texture or thermal motion is included.

Structural model:
```
26
Lattice="5.6745 0.0000 0.0000 0.0073 6.0026 0.0000 0.0008 0.5819 8.3066" Properties=species:S:1:pos:R:3 pbc="T T T"
Li 0.0000 0.0000 0.0000
Li 2.8413 3.2923 4.1533
Mn 0.0004 0.2909 4.1533
Mn 2.8409 3.0013 0.0000
Co 0.0036 3.0013 0.0000
Co 1.4129 1.6580 2.1065
Co 1.4197 4.9273 6.2015
Co 2.8377 0.2909 4.1533
Co 4.2629 1.6572 2.1051
Co 4.2697 4.9265 6.2001
O 0.0011 0.3739 2.2126
O 5.6815 6.2107 6.0940
O 0.0078 3.7269 6.2532
O 1.4035 1.7162 0.2040
O 1.4140 4.8747 8.1014
O 1.4394 1.5812 3.9879
O 1.4462 5.0035 4.3191
O 2.8375 0.4397 2.2393
O 2.8384 2.9266 1.9587
O 2.8442 3.6579 6.3479
O 2.8451 6.1448 6.0673
O 4.2364 1.5810 3.9875
O 4.2432 5.0033 4.3187
O 4.2686 1.7098 0.2052
O 4.2791 4.8683 8.1026
O 5.6748 2.8576 2.0534
```

Peak list (10 most intense, 2θ from 10° to 80°, in order of rising 2θ)
- d = 5.027 Å, I 100
- d = 2.449 Å, I 9
- d = 2.430 Å, I 18
- d = 2.077 Å, I 14
- d = 2.059 Å, I 28
- d = 1.910 Å, I 7
- d = 1.630 Å, I 5
- d = 1.619 Å, I 10
- d = 1.499 Å, I 7
- d = 1.428 Å, I 7